Starting from a PBE-relaxed structure, the X-ray powder pattern of Cd3S3O20 was computed for CuKα.
Neutral-atom scattering factors, no anomalous dispersion.

Peak list (12 most intense, 15 to 90 degrees two-theta, in order of rising 2θ)
index, two_theta, d (Å), I_rel
0 0 2, 18.31, 4.846, 32
2 1 0, 19.41, 4.572, 29
2 0 -1, 21.40, 4.153, 54
1 1 -2, 23.13, 3.846, 66
1 -1 2, 23.32, 3.814, 30
-2 1 1, 24.31, 3.661, 62
2 2 2, 28.67, 3.114, 100
2 2 -2, 32.20, 2.780, 67
-2 2 2, 34.05, 2.633, 33
2 -2 2, 34.29, 2.615, 33
0 0 4, 37.10, 2.423, 28
4 0 0, 37.86, 2.376, 32

Crystal structure
a b c (Å): 9.668 9.728 9.759
angles (deg): 84.58 85.16 80.13
Space group P1 (No. 1)
One atom of each set of equivalent atoms:
Cd 0.000 0.000 0.000 [1 per cell]
Cd 0.036 0.971 0.504 [1 per cell]
Cd 0.272 0.465 0.759 [1 per cell]
Cd 0.504 0.246 0.243 [1 per cell]
Cd 0.541 0.732 0.245 [1 per cell]
Cd 0.759 0.495 0.765 [1 per cell]
S 0.003 0.737 0.794 [1 per cell]
S 0.020 0.231 0.715 [1 per cell]
S 0.268 0.000 0.210 [1 per cell]
S 0.501 0.503 0.003 [1 per cell]
S 0.523 0.481 0.503 [1 per cell]
S 0.770 0.986 0.288 [1 per cell]
O 0.012 0.182 0.578 [1 per cell]
O 0.014 0.790 0.929 [1 per cell]
O 0.084 0.113 0.811 [1 per cell]
O 0.094 0.677 0.382 [1 per cell]
O 0.106 0.346 0.698 [1 per cell]
O 0.129 0.642 0.264 [1 per cell]
O 0.144 0.668 0.743 [1 per cell]
O 0.155 0.044 0.318 [1 per cell]
O 0.208 0.993 0.077 [1 per cell]
O 0.214 0.328 0.392 [1 per cell]
O 0.250 0.282 0.963 [1 per cell]
O 0.286 0.235 0.463 [1 per cell]
O 0.332 0.908 0.625 [1 per cell]
O 0.339 0.218 0.882 [1 per cell]
O 0.339 0.859 0.257 [1 per cell]
O 0.367 0.103 0.186 [1 per cell]
O 0.369 0.868 0.741 [1 per cell]
O 0.375 0.475 0.556 [1 per cell]
O 0.421 0.556 0.881 [1 per cell]
O 0.449 0.581 0.125 [1 per cell]
O 0.491 0.351 0.035 [1 per cell]
O 0.532 0.627 0.448 [1 per cell]
O 0.561 0.383 0.393 [1 per cell]
O 0.621 0.441 0.614 [1 per cell]
O 0.652 0.905 0.306 [1 per cell]
O 0.653 0.516 0.970 [1 per cell]
O 0.658 0.104 0.770 [1 per cell]
O 0.682 0.796 0.601 [1 per cell]
O 0.705 0.061 0.882 [1 per cell]
O 0.718 0.133 0.233 [1 per cell]
O 0.731 0.741 0.048 [1 per cell]
O 0.774 0.721 0.535 [1 per cell]
O 0.790 0.659 0.139 [1 per cell]
O 0.827 0.988 0.423 [1 per cell]
O 0.876 0.283 0.775 [1 per cell]
O 0.882 0.923 0.186 [1 per cell]
O 0.884 0.374 0.210 [1 per cell]
O 0.901 0.638 0.815 [1 per cell]
O 0.947 0.298 0.123 [1 per cell]
O 0.957 0.854 0.690 [1 per cell]

=====

Starting from a PBE-relaxed structure, the X-ray powder pattern of CdSO3 was computed for CuKα.
Neutral-atom scattering factors, no anomalous dispersion.

Peak list (12 most intense, 15 to 90 degrees two-theta, in order of rising 2θ)
index, two_theta, d (Å), I_rel
0 2 0, 19.67, 4.513, 37
1 1 0, 21.79, 4.079, 100
0 2 1, 23.19, 3.836, 19
1 2 -1, 30.26, 2.953, 15
0 2 2, 31.57, 2.834, 65
0 3 1, 32.19, 2.781, 31
1 1 -2, 32.69, 2.739, 35
1 1 2, 33.26, 2.694, 38
1 3 0, 35.72, 2.513, 31
2 0 0, 39.41, 2.286, 28
2 0 -2, 46.48, 1.954, 17
2 2 -2, 50.96, 1.792, 17

Crystal structure
a b c (Å): 4.573 9.026 7.283
angles (deg): 90.00 91.07 90.00
Space group P2_1/c (No. 14)
One atom of each set of equivalent atoms:
Cd 0.215 0.211 0.473 [4 per cell]
S 0.258 0.572 0.288 [4 per cell]
O 0.070 0.110 0.184 [4 per cell]
O 0.265 0.098 0.755 [4 per cell]
O 0.306 0.639 0.094 [4 per cell]

=====

Starting from a PBE-relaxed structure, the X-ray powder pattern of Cd2SO6 was computed for CuKα.
Neutral-atom scattering factors, no anomalous dispersion.

Peak list (12 most intense, 15 to 90 degrees two-theta, in order of rising 2θ)
index, two_theta, d (Å), I_rel
0 1 0, 18.50, 4.797, 100
0 1 2, 25.28, 3.524, 28
2 1 -2, 25.58, 3.483, 23
1 0 2, 27.15, 3.284, 24
3 0 -2, 27.72, 3.219, 22
2 1 0, 30.83, 2.900, 53
2 1 -4, 31.00, 2.884, 65
1 1 2, 33.06, 2.710, 30
1 1 -4, 33.18, 2.700, 22
3 1 -2, 33.53, 2.673, 30
3 1 -4, 33.65, 2.664, 22
3 2 -2, 47.29, 1.922, 23

Crystal structure
a b c (Å): 10.128 4.797 14.445
angles (deg): 90.00 134.03 90.00
Space group Pc (No. 7)
One atom of each set of equivalent atoms:
Cd 0.000 0.019 0.000 [2 per cell]
Cd 0.368 0.026 0.494 [2 per cell]
Cd 0.510 0.022 0.810 [2 per cell]
Cd 0.868 0.056 0.683 [2 per cell]
S 0.198 0.496 0.253 [2 per cell]
S 0.675 0.447 0.235 [2 per cell]
O 0.034 0.326 0.652 [2 per cell]
O 0.075 0.135 0.891 [2 per cell]
O 0.157 0.315 0.314 [2 per cell]
O 0.237 0.320 0.188 [2 per cell]
O 0.287 0.144 0.602 [2 per cell]
O 0.360 0.325 0.852 [2 per cell]
O 0.480 0.355 0.130 [2 per cell]
O 0.581 0.139 0.492 [2 per cell]
O 0.677 0.243 0.750 [2 per cell]
O 0.754 0.311 0.358 [2 per cell]
O 0.785 0.380 0.205 [2 per cell]
O 0.791 0.139 0.005 [2 per cell]